Theoretical powder diffraction line list
Compound: Tb3Ho2
Radiation: CuKα
Structure: a PBE-relaxed structure
Lines closer than 0.1° are merged.

Most intense lines, 10 to 90 degrees two-theta, low angle first:
Position (°2θ)	I (rel.)	(hkl)
28.5	24	1 1 2
31.7	24	4 0 -2
32.7	100	2 2 -1
43.2	16	5 1 0
50.6	20	2 0 4
57.2	21	6 2 -3
60.9	23	6 0 2
61.5	16	4 2 3

Atomic structure:
```
data_Tb3Ho2
_cell_length_a 11.8471
_cell_length_b 6.2548
_cell_length_c 9.1597
_cell_angle_alpha 90.00
_cell_angle_beta 110.23
_cell_angle_gamma 90.00
_space_group_name_H-M_alt 'C 1 2/c 1'
_space_group_IT_number 15
loop_
_space_group_symop_operation_xyz
'x,y,z'
'-x,-y,-z'
'-x,y,-z+1/2'
'x,-y,z+1/2'
'x+1/2,y+1/2,z'
'-x+1/2,-y+1/2,-z'
'-x+1/2,y+1/2,-z+1/2'
'x+1/2,-y+1/2,z+1/2'
loop_
_atom_site_label
_atom_site_type_symbol
_atom_site_fract_x
_atom_site_fract_y
_atom_site_fract_z
_atom_site_occupancy
Tb1 Tb 0.0000 0.1666 0.2500 1
Tb2 Tb 0.1993 0.1665 0.6498 1
Ho1 Ho 0.1004 0.3347 0.9502 1
```